Starting from the GGA-PBE geometry in Alexandria, the powder XRD pattern of RhW3 was computed for Cu Kα X-rays.
Kinematic intensities with the Lorentz-polarization factor, no thermal factor.

Largest 10 diffraction maxima, most intense first, 10 to 80 degrees two-theta:
(hkl)	2θ/deg	intensity
2 1 0	40.2	1000
2 1 1	44.2	477
3 2 1	70.2	241
3 2 0	67.3	222
2 0 0	35.8	215
4 0 0	75.8	126
2 2 2	64.3	125
1 1 0	25.1	70
3 1 0	58.1	16
2 2 0	51.5	11

```
data_RhW3
_symmetry_space_group_name_H-M 'P m -3 n'
_symmetry_Int_Tables_number 223
_symmetry_space_group_name_Hall '-P 4n 2 3'
_cell_length_a 5.018
_cell_length_b 5.018
_cell_length_c 5.018
_cell_angle_alpha 90.00
_cell_angle_beta 90.00
_cell_angle_gamma 90.00
loop_
_atom_site_label
_atom_site_fract_x
_atom_site_fract_y
_atom_site_fract_z
Rh1 0.000 0.000 0.000
W1 0.000 0.250 0.500
```

Starting from the GGA-PBE geometry in Alexandria, the powder XRD pattern of RhW3 was computed for Cu Kα X-rays.
Kinematic intensities with the Lorentz-polarization factor, no thermal factor.

Largest 10 diffraction maxima, most intense first, 10 to 80 degrees two-theta:
(hkl)	2θ/deg	intensity
0 1 2	40.3	1000
1 1 -1	40.6	648
0 2 0	40.4	332
1 3 -1	73.5	227
1 2 1	58.4	226
1 1 3	73.0	125
0 3 2	73.3	116
1 0 -3	58.6	111
2 1 0	73.7	110
0 0 4	73.1	58

```
data_RhW3
_symmetry_space_group_name_H-M 'P 1 2/m 1'
_symmetry_Int_Tables_number 10
_symmetry_space_group_name_Hall '-P 2y'
_cell_length_a 2.722
_cell_length_b 4.469
_cell_length_c 5.252
_cell_angle_alpha 90.00
_cell_angle_beta 99.55
_cell_angle_gamma 90.00
loop_
_atom_site_label
_atom_site_fract_x
_atom_site_fract_y
_atom_site_fract_z
Rh1 0.000 0.000 0.000
W1 0.269 0.500 0.747
W2 0.500 0.000 0.500
```

Starting from the GGA-PBE geometry in Alexandria, the powder XRD pattern of Rh2W was computed for Cu Kα X-rays.
Kinematic intensities with the Lorentz-polarization factor, no thermal factor.

Largest 10 diffraction maxima, most intense first, 10 to 80 degrees two-theta:
(hkl)	2θ/deg	intensity
3 0 0	42.0	1000
1 1 1	40.4	566
2 0 1	42.8	370
2 1 1	49.6	319
3 2 1	72.2	235
1 0 1	35.0	230
1 1 0	23.9	189
2 2 1	59.7	144
3 3 0	76.7	136
4 1 1	75.6	123

```
data_Rh2W
_symmetry_space_group_name_H-M 'P -6 2 m'
_symmetry_Int_Tables_number 189
_symmetry_space_group_name_Hall 'P -6 -2'
_cell_length_a 7.4522
_cell_length_b 7.4522
_cell_length_c 2.7901
_cell_angle_alpha 90.00
_cell_angle_beta 90.00
_cell_angle_gamma 120.00
loop_
_atom_site_label
_atom_site_fract_x
_atom_site_fract_y
_atom_site_fract_z
Rh1 0.0000 0.3604 0.0000
Rh2 0.0000 0.6982 0.5000
W1 0.0000 0.0000 0.0000
W2 0.3333 0.6667 0.5000
```

Starting from the GGA-PBE geometry in Alexandria, the powder XRD pattern of Zn3Rh4W was computed for Cu Kα X-rays.
Kinematic intensities with the Lorentz-polarization factor, no thermal factor.

Largest 10 diffraction maxima, most intense first, 10 to 80 degrees two-theta:
(hkl)	2θ/deg	intensity
1 1 2	41.6	1000
2 0 0	42.7	464
3 1 2	77.4	308
2 0 4	75.1	168
2 2 0	61.9	150
0 0 4	58.5	89
0 0 1	14.0	66
1 0 1	25.3	65
1 0 0	21.0	51
1 1 1	33.1	32

```
data_Zn3Rh4W
_symmetry_space_group_name_H-M 'P 4/m m m'
_symmetry_Int_Tables_number 123
_symmetry_space_group_name_Hall '-P 4 2'
_cell_length_a 4.238
_cell_length_b 4.238
_cell_length_c 6.309
_cell_angle_alpha 90.00
_cell_angle_beta 90.00
_cell_angle_gamma 90.00
loop_
_atom_site_label
_atom_site_fract_x
_atom_site_fract_y
_atom_site_fract_z
Zn1 0.000 0.000 0.000
Zn2 0.000 0.000 0.500
Zn3 0.500 0.500 0.000
Rh1 0.000 0.500 0.251
W1 0.500 0.500 0.500
```

Starting from the GGA-PBE geometry in Alexandria, the powder XRD pattern of Y2Rh3 was computed for Cu Kα X-rays.
Kinematic intensities with the Lorentz-polarization factor, no thermal factor.

Largest 10 diffraction maxima, most intense first, 10 to 80 degrees two-theta:
(hkl)	2θ/deg	intensity
1 1 0	40.6	1000
0 1 5	34.4	880
1 0 7	42.8	371
2 0 5	54.3	232
1 2 5	69.9	212
1 1 12	77.8	205
3 0 0	73.9	203
1 0 4	30.8	191
0 0 12	63.2	161
2 1 7	75.4	134

```
data_Y2Rh3
_symmetry_space_group_name_H-M 'R -3 m'
_symmetry_Int_Tables_number 166
_symmetry_space_group_name_Hall '-R 3 2"'
_cell_length_a 4.4428
_cell_length_b 4.4428
_cell_length_c 17.6791
_cell_angle_alpha 90.00
_cell_angle_beta 90.00
_cell_angle_gamma 120.00
loop_
_atom_site_label
_atom_site_fract_x
_atom_site_fract_y
_atom_site_fract_z
Y1 0.0000 0.0000 0.0953
Rh1 0.0000 0.0000 0.3367
Rh2 0.0000 0.0000 0.5000
```

Starting from the GGA-PBE geometry in Alexandria, the powder XRD pattern of Y7Rh3 was computed for Cu Kα X-rays.
Kinematic intensities with the Lorentz-polarization factor, no thermal factor.

Largest 10 diffraction maxima, most intense first, 10 to 80 degrees two-theta:
(hkl)	2θ/deg	intensity
2 1 1	31.3	1000
3 0 1	34.7	778
2 0 2	35.7	594
2 2 0	36.5	526
1 0 2	30.6	442
2 0 3	48.8	384
3 0 0	31.5	259
3 0 3	54.8	254
2 1 2	40.3	251
1 0 1	17.7	238

```
data_Y7Rh3
_symmetry_space_group_name_H-M 'P 63 m c'
_symmetry_Int_Tables_number 186
_symmetry_space_group_name_Hall 'P 6c -2c'
_cell_length_a 9.8398
_cell_length_b 9.8398
_cell_length_c 6.2186
_cell_angle_alpha 90.00
_cell_angle_beta 90.00
_cell_angle_gamma 120.00
loop_
_atom_site_label
_atom_site_fract_x
_atom_site_fract_y
_atom_site_fract_z
Y1 0.0829 0.5414 0.0000
Y2 0.1238 0.2476 0.3080
Y3 0.3333 0.6667 0.5123
Rh1 0.1897 0.3794 0.7356
```

Starting from the GGA-PBE geometry in Alexandria, the powder XRD pattern of Y5Rh2 was computed for Cu Kα X-rays.
Kinematic intensities with the Lorentz-polarization factor, no thermal factor.

Largest 10 diffraction maxima, most intense first, 10 to 80 degrees two-theta:
(hkl)	2θ/deg	intensity
4 0 2	35.7	1000
5 1 0	31.1	825
1 1 -3	40.2	715
1 1 1	19.8	657
5 1 1	35.0	617
2 2 1	33.0	591
0 2 1	30.4	565
3 1 2	34.8	473
3 1 -2	31.6	466
2 2 -1	31.9	464

```
data_Y5Rh2
_symmetry_space_group_name_H-M 'C 1 2/c 1'
_symmetry_Int_Tables_number 15
_symmetry_space_group_name_Hall '-C 2yc'
_cell_length_a 16.166
_cell_length_b 6.452
_cell_length_c 7.188
_cell_angle_alpha 90.00
_cell_angle_beta 97.21
_cell_angle_gamma 90.00
loop_
_atom_site_label
_atom_site_fract_x
_atom_site_fract_y
_atom_site_fract_z
Y1 0.000 0.074 0.250
Y2 0.094 0.389 0.918
Y3 0.218 0.071 0.313
Rh1 0.111 0.209 0.574
```

Starting from the GGA-PBE geometry in Alexandria, the powder XRD pattern of Y3Rh was computed for Cu Kα X-rays.
Kinematic intensities with the Lorentz-polarization factor, no thermal factor.

Largest 10 diffraction maxima, most intense first, 10 to 80 degrees two-theta:
(hkl)	2θ/deg	intensity
1 3 1	34.0	1000
1 1 2	32.2	921
2 2 1	34.3	686
0 3 1	31.6	633
2 2 0	31.2	557
2 3 0	37.8	492
2 1 1	30.0	398
3 0 3	58.0	392
0 2 0	18.6	375
1 2 2	36.2	347

```
data_Y3Rh
_symmetry_space_group_name_H-M 'P n m a'
_symmetry_Int_Tables_number 62
_symmetry_space_group_name_Hall '-P 2ac 2n'
_cell_length_a 7.204
_cell_length_b 9.500
_cell_length_c 6.361
_cell_angle_alpha 90.00
_cell_angle_beta 90.00
_cell_angle_gamma 90.00
loop_
_atom_site_label
_atom_site_fract_x
_atom_site_fract_y
_atom_site_fract_z
Y1 0.036 0.250 0.137
Y2 0.177 0.064 0.673
Rh1 0.117 0.750 0.448
```